Record 1
# La5Pr8Pu
Computed PXRD pattern, copper Kα. Input: a PBE-relaxed structure.

Principal peaks in the range 2θ = 10–80°, sorted by position:
d (Å)  2θ/deg  intensity
3.566  24.97  10.2
3.193  27.95  20.9
3.069  29.10  27.8
2.857  31.31  39.5
2.826  31.66  100.0
2.771  32.31  16.5
2.704  33.13  32.3
2.588  34.66  20.4
1.894  48.03  10.8
1.817  50.21  10.4
1.796  50.84  10.2
1.593  57.88  10.4

Crystal structure
```
data_La5Pr8Pu
_chemical_formula_sum 'La5 Pr8 Pu1'
_space_group_name_H-M_alt 'P 1'
_space_group_IT_number 1
_space_group_name_Hall 'P 1'
_cell_length_a 8.667
_cell_length_b 8.667
_cell_length_c 9.829
_cell_angle_alpha 122.26
_cell_angle_beta 122.26
_cell_angle_gamma 61.32
loop_
_atom_site_label
_atom_site_fract_x
_atom_site_fract_y
_atom_site_fract_z
La1 0.000 0.000 0.000
La2 0.248 0.545 0.752
La3 0.455 0.752 0.248
La4 0.628 0.288 0.135
La5 0.712 0.372 0.865
Pr1 0.053 0.028 0.697
Pr2 0.151 0.461 0.047
Pr3 0.446 0.051 0.659
Pr4 0.476 0.205 0.375
Pr5 0.539 0.849 0.953
Pr6 0.795 0.524 0.625
Pr7 0.949 0.554 0.341
Pr8 0.972 0.947 0.303
Pu1 0.346 0.654 0.500
```

***

Record 2
# LaPr3Rh
Computed PXRD pattern, copper Kα. Input: a PBE-relaxed structure.

Principal peaks in the range 2θ = 10–80°, sorted by position:
d (Å)  2θ/deg  intensity
3.319  26.86  54.1
2.950  30.29  100.0
2.932  30.48  37.5
2.872  31.15  25.3
2.455  36.61  20.7
2.365  38.04  27.8
2.329  38.66  15.9
1.887  48.22  12.6
1.841  49.51  19.5
1.830  49.83  14.8
1.826  49.95  28.1
1.475  63.01  12.0

Crystal structure
```
data_LaPr3Rh
_chemical_formula_sum 'La2 Pr6 Rh2'
_space_group_name_H-M_alt 'P 1'
_space_group_IT_number 1
_space_group_name_Hall 'P 1'
_cell_length_a 7.643
_cell_length_b 7.643
_cell_length_c 5.987
_cell_angle_alpha 99.37
_cell_angle_beta 99.37
_cell_angle_gamma 76.48
loop_
_atom_site_label
_atom_site_fract_x
_atom_site_fract_y
_atom_site_fract_z
La1 0.106 0.106 0.297
La2 0.894 0.894 0.703
Pr1 0.115 0.615 0.230
Pr2 0.385 0.885 0.770
Pr3 0.399 0.399 0.711
Pr4 0.601 0.601 0.289
Pr5 0.615 0.115 0.230
Pr6 0.885 0.385 0.770
Rh1 0.249 0.249 0.008
Rh2 0.751 0.751 0.992
```

***

Record 3
# La5Pr2Rh5
Computed PXRD pattern, copper Kα. Input: a PBE-relaxed structure.

Principal peaks in the range 2θ = 10–80°, sorted by position:
d (Å)  2θ/deg  intensity
3.074  29.05  75.0
3.057  29.21  70.2
3.024  29.54  70.0
2.980  29.98  49.4
2.887  30.98  100.0
2.777  32.24  70.1
2.630  34.09  46.9
2.289  39.37  38.0
2.090  43.28  37.9
2.052  44.14  35.0
2.031  44.62  61.3
1.693  54.18  56.9

Crystal structure
```
data_La5Pr2Rh5
_chemical_formula_sum 'La5 Pr2 Rh5'
_space_group_name_H-M_alt 'P 1'
_space_group_IT_number 1
_space_group_name_Hall 'P 1'
_cell_length_a 7.125
_cell_length_b 7.125
_cell_length_c 12.462
_cell_angle_alpha 104.86
_cell_angle_beta 104.86
_cell_angle_gamma 33.12
loop_
_atom_site_label
_atom_site_fract_x
_atom_site_fract_y
_atom_site_fract_z
La1 0.000 0.000 0.000
La2 0.155 0.155 0.550
La3 0.239 0.239 0.857
La4 0.761 0.761 0.143
La5 0.845 0.845 0.450
Pr1 0.460 0.460 0.716
Pr2 0.540 0.540 0.284
Rh1 0.200 0.200 0.312
Rh2 0.384 0.384 0.072
Rh3 0.500 0.500 0.500
Rh4 0.616 0.616 0.928
Rh5 0.800 0.800 0.688
```

***

Record 4
# LaPr4Ru
Computed PXRD pattern, copper Kα. Input: a PBE-relaxed structure.

Principal peaks in the range 2θ = 10–80°, sorted by position:
d (Å)  2θ/deg  intensity
7.007  12.63  15.8
3.504  25.42  18.8
3.207  27.82  19.0
3.082  28.98  39.4
2.958  30.21  73.7
2.824  31.69  100.0
2.314  38.92  40.9
1.926  47.19  15.2
1.755  52.12  23.3
1.725  53.09  20.1
1.614  57.06  18.7
1.585  58.19  25.1

Crystal structure
```
data_LaPr4Ru
_chemical_formula_sum 'La2 Pr8 Ru2'
_space_group_name_H-M_alt 'P 1'
_space_group_IT_number 1
_space_group_name_Hall 'P 1'
_cell_length_a 9.765
_cell_length_b 9.765
_cell_length_c 6.163
_cell_angle_alpha 108.37
_cell_angle_beta 108.37
_cell_angle_gamma 46.47
loop_
_atom_site_label
_atom_site_fract_x
_atom_site_fract_y
_atom_site_fract_z
La1 0.200 0.200 0.200
La2 0.800 0.800 0.800
Pr1 0.143 0.633 0.388
Pr2 0.208 0.792 0.000
Pr3 0.331 0.331 0.832
Pr4 0.367 0.857 0.612
Pr5 0.633 0.143 0.388
Pr6 0.669 0.669 0.168
Pr7 0.792 0.208 0.000
Pr8 0.857 0.367 0.612
Ru1 0.500 0.500 0.261
Ru2 0.500 0.500 0.739
```

***

Record 5
# La2PrRu2
Computed PXRD pattern, copper Kα. Input: a PBE-relaxed structure.

Principal peaks in the range 2θ = 10–80°, sorted by position:
d (Å)  2θ/deg  intensity
5.024  17.65  18.0
4.435  20.02  15.8
3.497  25.47  36.4
2.912  30.70  100.0
2.740  32.68  61.9
2.525  35.56  36.9
2.426  37.05  56.0
2.350  38.31  38.3
2.100  43.08  27.9
1.847  49.34  19.9
1.749  52.29  24.3
1.470  63.28  18.7

Crystal structure
```
data_La2PrRu2
_chemical_formula_sum 'La4 Pr2 Ru4'
_space_group_name_H-M_alt 'P 1'
_space_group_IT_number 1
_space_group_name_Hall 'P 1'
_cell_length_a 5.177
_cell_length_b 4.853
_cell_length_c 11.196
_cell_angle_alpha 90.00
_cell_angle_beta 102.73
_cell_angle_gamma 90.00
loop_
_atom_site_label
_atom_site_fract_x
_atom_site_fract_y
_atom_site_fract_z
La1 0.165 0.250 0.110
La2 0.220 0.250 0.447
La3 0.780 0.750 0.553
La4 0.835 0.750 0.890
Pr1 0.297 0.250 0.787
Pr2 0.703 0.750 0.213
Ru1 0.268 0.750 0.648
Ru2 0.320 0.750 0.955
Ru3 0.680 0.250 0.045
Ru4 0.732 0.250 0.352
```

***

Record 6
# La2PrRu
Computed PXRD pattern, copper Kα. Input: a PBE-relaxed structure.

Principal peaks in the range 2θ = 10–80°, sorted by position:
d (Å)  2θ/deg  intensity
3.074  29.05  30.5
2.996  29.82  24.5
2.982  29.96  100.0
2.871  31.15  70.5
2.766  32.37  41.3
2.716  32.98  56.7
2.573  34.87  18.6
2.486  36.14  24.2
1.933  47.01  19.4
1.776  51.47  20.1
1.701  53.91  20.8
1.668  55.05  19.1

Crystal structure
```
data_La2PrRu
_chemical_formula_sum 'La8 Pr4 Ru4'
_space_group_name_H-M_alt 'P 1'
_space_group_IT_number 1
_space_group_name_Hall 'P 1'
_cell_length_a 7.424
_cell_length_b 10.041
_cell_length_c 6.550
_cell_angle_alpha 90.00
_cell_angle_beta 90.00
_cell_angle_gamma 90.00
loop_
_atom_site_label
_atom_site_fract_x
_atom_site_fract_y
_atom_site_fract_z
La1 0.173 0.070 0.171
La2 0.173 0.430 0.171
La3 0.327 0.570 0.671
La4 0.327 0.930 0.671
La5 0.673 0.070 0.329
La6 0.673 0.430 0.329
La7 0.827 0.570 0.829
La8 0.827 0.930 0.829
Pr1 0.045 0.250 0.649
Pr2 0.455 0.750 0.149
Pr3 0.545 0.250 0.851
Pr4 0.955 0.750 0.351
Ru1 0.108 0.750 0.926
Ru2 0.392 0.250 0.426
Ru3 0.608 0.750 0.574
Ru4 0.892 0.250 0.074
```

***

Record 7
# La4PrS7
Computed PXRD pattern, copper Kα. Input: a PBE-relaxed structure.

Principal peaks in the range 2θ = 10–80°, sorted by position:
d (Å)  2θ/deg  intensity
3.878  22.93  100.0
3.809  23.36  65.7
3.586  24.83  27.6
3.426  26.01  31.5
3.017  29.61  39.8
2.867  31.19  47.7
2.769  32.33  34.9
2.413  37.26  21.4
2.240  40.27  33.1
2.065  43.84  26.6
2.033  44.58  23.7
2.022  44.83  26.1

Crystal structure
```
data_La4PrS7
_chemical_formula_sum 'La4 Pr1 S7'
_space_group_name_H-M_alt 'P 1'
_space_group_IT_number 1
_space_group_name_Hall 'P 1'
_cell_length_a 7.145
_cell_length_b 7.145
_cell_length_c 12.043
_cell_angle_alpha 104.71
_cell_angle_beta 104.71
_cell_angle_gamma 32.88
loop_
_atom_site_label
_atom_site_fract_x
_atom_site_fract_y
_atom_site_fract_z
La1 0.000 0.000 0.000
La2 0.191 0.191 0.767
La3 0.587 0.587 0.387
La4 0.889 0.889 0.577
Pr1 0.777 0.777 0.156
S1 0.151 0.151 0.226
S2 0.230 0.230 0.527
S3 0.387 0.387 0.077
S4 0.548 0.548 0.628
S5 0.627 0.627 0.930
S6 0.844 0.844 0.792
S7 0.933 0.933 0.362
```

***

Record 8
# LaPr4S5
Computed PXRD pattern, copper Kα. Input: a PBE-relaxed structure.

Principal peaks in the range 2θ = 10–80°, sorted by position:
d (Å)  2θ/deg  intensity
3.361  26.52  71.9
2.911  30.72  100.0
2.058  44.00  72.5
1.758  52.03  11.9
1.754  52.15  24.0
1.680  54.61  25.2
1.458  63.84  3.9
1.454  64.04  7.8
1.335  70.52  14.5
1.303  72.53  10.6
1.301  72.69  21.4

Crystal structure
```
data_LaPr4S5
_chemical_formula_sum 'La1 Pr4 S5'
_space_group_name_H-M_alt 'P 1'
_space_group_IT_number 1
_space_group_name_Hall 'P 1'
_cell_length_a 14.867
_cell_length_b 14.867
_cell_length_c 14.867
_cell_angle_alpha 164.10
_cell_angle_beta 164.10
_cell_angle_gamma 22.56
loop_
_atom_site_label
_atom_site_fract_x
_atom_site_fract_y
_atom_site_fract_z
La1 0.000 0.000 0.000
Pr1 0.199 0.199 0.000
Pr2 0.399 0.399 0.000
Pr3 0.601 0.601 0.000
Pr4 0.801 0.801 0.000
S1 0.100 0.100 0.000
S2 0.299 0.299 0.000
S3 0.500 0.500 0.000
S4 0.701 0.701 0.000
S5 0.900 0.900 0.000
```

***

Record 9
# LaPr4S7
Computed PXRD pattern, copper Kα. Input: a PBE-relaxed structure.

Principal peaks in the range 2θ = 10–80°, sorted by position:
d (Å)  2θ/deg  intensity
3.884  22.90  100.0
3.828  23.23  29.7
3.797  23.43  84.7
3.558  25.03  34.8
3.399  26.21  41.3
2.991  29.88  41.8
2.842  31.48  59.0
2.751  32.55  45.2
2.405  37.40  27.7
2.236  40.34  32.7
2.058  44.01  33.6
2.001  45.32  32.5

Crystal structure
```
data_LaPr4S7
_chemical_formula_sum 'La1 Pr4 S7'
_space_group_name_H-M_alt 'P 1'
_space_group_IT_number 1
_space_group_name_Hall 'P 1'
_cell_length_a 7.089
_cell_length_b 7.089
_cell_length_c 12.042
_cell_angle_alpha 104.38
_cell_angle_beta 104.38
_cell_angle_gamma 32.79
loop_
_atom_site_label
_atom_site_fract_x
_atom_site_fract_y
_atom_site_fract_z
La1 0.000 0.000 0.000
Pr1 0.112 0.112 0.421
Pr2 0.223 0.223 0.839
Pr3 0.412 0.412 0.610
Pr4 0.811 0.811 0.233
S1 0.067 0.067 0.635
S2 0.156 0.156 0.206
S3 0.370 0.370 0.069
S4 0.453 0.453 0.370
S5 0.612 0.612 0.920
S6 0.771 0.771 0.471
S7 0.851 0.851 0.771
```

***

Record 10
# La2Pr2Se2S3
Computed PXRD pattern, copper Kα. Input: a PBE-relaxed structure.

Principal peaks in the range 2θ = 10–80°, sorted by position:
d (Å)  2θ/deg  intensity
3.806  23.37  22.5
3.522  25.28  70.9
2.810  31.85  100.0
2.749  32.58  31.8
2.677  33.47  56.3
2.260  39.88  21.2
1.987  45.67  36.1
1.938  46.88  43.1
1.730  52.91  20.1
1.387  67.52  14.3
1.256  75.69  16.0
1.209  79.27  16.2

Crystal structure
```
data_La2Pr2Se2S3
_chemical_formula_sum 'La2 Pr2 Se2 S3'
_space_group_name_H-M_alt 'P 1'
_space_group_IT_number 1
_space_group_name_Hall 'P 1'
_cell_length_a 8.587
_cell_length_b 8.587
_cell_length_c 8.587
_cell_angle_alpha 141.80
_cell_angle_beta 141.80
_cell_angle_gamma 55.12
loop_
_atom_site_label
_atom_site_fract_x
_atom_site_fract_y
_atom_site_fract_z
La1 0.204 0.204 0.000
La2 0.796 0.796 0.000
Pr1 0.000 0.500 0.500
Pr2 0.500 0.000 0.500
Se1 0.399 0.399 0.000
Se2 0.601 0.601 0.000
S1 0.000 0.000 0.000
S2 0.250 0.750 0.500
S3 0.750 0.250 0.500
```

***

Record 11
# SrLaPr2S4
Computed PXRD pattern, copper Kα. Input: a PBE-relaxed structure.

Principal peaks in the range 2θ = 10–80°, sorted by position:
d (Å)  2θ/deg  intensity
3.403  26.19  32.4
3.378  26.38  31.8
2.936  30.45  100.0
2.088  43.34  12.3
2.079  43.53  24.3
2.073  43.66  24.1
2.065  43.84  11.9
1.768  51.71  13.5
1.689  54.31  12.5
1.468  63.36  11.7
1.314  71.82  10.7
1.312  72.00  10.6

Crystal structure
```
data_SrLaPr2S4
_chemical_formula_sum 'Sr1 La1 Pr2 S4'
_space_group_name_H-M_alt 'P 1'
_space_group_IT_number 1
_space_group_name_Hall 'P 1'
_cell_length_a 7.191
_cell_length_b 4.130
_cell_length_c 7.218
_cell_angle_alpha 90.00
_cell_angle_beta 109.16
_cell_angle_gamma 90.00
loop_
_atom_site_label
_atom_site_fract_x
_atom_site_fract_y
_atom_site_fract_z
Sr1 0.000 0.000 0.000
La1 0.500 0.500 0.000
Pr1 0.000 0.500 0.500
Pr2 0.500 0.000 0.500
S1 0.250 0.000 0.748
S2 0.253 0.500 0.254
S3 0.747 0.500 0.746
S4 0.750 0.000 0.252
```

***

Record 12
# LaPrTeS
Computed PXRD pattern, copper Kα. Input: a PBE-relaxed structure.

Principal peaks in the range 2θ = 10–80°, sorted by position:
d (Å)  2θ/deg  intensity
4.299  20.66  23.3
3.919  22.69  46.3
3.691  24.11  11.1
3.237  27.56  38.2
2.749  32.57  17.0
2.651  33.81  60.1
2.571  34.90  100.0
2.488  36.11  13.3
1.878  48.48  33.0
1.846  49.38  20.3
1.499  61.89  20.4
1.484  62.58  18.0

Crystal structure
```
data_LaPrTeS
_chemical_formula_sum 'La2 Pr2 Te2 S2'
_space_group_name_H-M_alt 'P 1'
_space_group_IT_number 1
_space_group_name_Hall 'P 1'
_cell_length_a 11.391
_cell_length_b 11.391
_cell_length_c 11.391
_cell_angle_alpha 26.09
_cell_angle_beta 26.09
_cell_angle_gamma 26.09
loop_
_atom_site_label
_atom_site_fract_x
_atom_site_fract_y
_atom_site_fract_z
La1 0.121 0.121 0.121
La2 0.879 0.879 0.879
Pr1 0.297 0.297 0.297
Pr2 0.703 0.703 0.703
Te1 0.397 0.397 0.397
Te2 0.603 0.603 0.603
S1 0.206 0.206 0.206
S2 0.794 0.794 0.794
```